Theoretical X-ray diffraction stick pattern of SrCaHfTiO6 for λ = 1.5418 Å (Cu Kα), from a structure optimized by DFT (GGA-PBE).
No peak broadening, texture or thermal motion is included.

Principal peaks in the range 10° ≤ 2θ ≤ 90°, low angle first:
(1 1 1), 19.13 deg, I 36.6; (2 0 0), 22.12 deg, I 19.4; (2 2 0), 31.48 deg, I 100.0; (3 1 1), 37.10 deg, I 23.8; (4 0 0), 45.12 deg, I 35.2; (4 2 2), 56.06 deg, I 39.0; (4 4 0), 65.72 deg, I 20.8; (6 2 0), 74.70 deg, I 16.9

```
data_SrCaHfTiO6
_chemical_formula_sum 'Sr4 Ca4 Hf4 Ti4 O24'
_cell_length_a 8.037
_cell_length_b 8.037
_cell_length_c 8.037
_cell_angle_alpha 90.00
_cell_angle_beta 90.00
_cell_angle_gamma 90.00
_symmetry_space_group_name_H-M 'F -4 3 m'
_symmetry_Int_Tables_number 216
_symmetry_space_group_name_Hall 'F -4 2 3'
loop_
_atom_site_label
_atom_site_type_symbol
_atom_site_fract_x
_atom_site_fract_y
_atom_site_fract_z
Sr1 Sr 0.000 0.000 0.000
Ca1 Ca 0.000 0.000 0.500
Hf1 Hf 0.250 0.250 0.750
Ti1 Ti 0.250 0.250 0.250
O1 O 0.006 0.250 0.250
```